1.
Structure and simulated X-ray diffraction stick pattern of UP2O7 (the GGA-PBE geometry in the Materials Project; a wavelength of 1.5418 Å).

Top 10 peaks for 2θ from 5° to 70°, most intense first:
2theta	Rel. int.
20.07	100
17.36	77
33.63	41
28.50	35
33.53	29
45.79	19
28.59	17
44.64	14
50.55	14
53.90	13

Cell: 8.838 8.848 8.863 Å, 89.82 89.84 89.73°
Space group P1 (No. 1)
Symmetry-distinct sites (fractional):
1 U 0.000 0.000 0.000
2 U 0.000 0.495 0.502
3 U 0.504 0.487 0.005
4 U 0.504 0.988 0.494
5 P 0.101 0.598 0.903
6 P 0.104 0.095 0.601
7 P 0.398 0.587 0.403
8 P 0.399 0.090 0.096
9 P 0.602 0.885 0.896
10 P 0.603 0.386 0.606
11 P 0.897 0.394 0.109
12 P 0.901 0.892 0.398
13 O 0.069 0.557 0.738
14 O 0.071 0.256 0.546
15 O 0.073 0.767 0.933
16 O 0.077 0.078 0.770
17 O 0.228 0.071 0.079
18 O 0.228 0.569 0.421
19 O 0.256 0.545 0.955
20 O 0.261 0.040 0.552
21 O 0.450 0.063 0.259
22 O 0.451 0.538 0.246
23 O 0.452 0.745 0.442
24 O 0.453 0.242 0.035
25 O 0.465 0.471 0.525
26 O 0.469 0.958 0.996
27 O 0.559 0.915 0.732
28 O 0.576 0.415 0.775
29 O 0.585 0.219 0.565
30 O 0.594 0.717 0.937
31 O 0.729 0.431 0.103
32 O 0.734 0.937 0.406
33 O 0.753 0.452 0.552
34 O 0.754 0.956 0.938
35 O 0.926 0.727 0.442
36 O 0.932 0.236 0.049
37 O 0.963 0.417 0.266
38 O 0.972 0.931 0.246
39 O 0.973 0.515 0.999
40 O 0.979 0.988 0.528

2.
Structure and simulated X-ray diffraction stick pattern of U2P6O21 (the GGA-PBE geometry in the Materials Project; a wavelength of 1.5418 Å).

Top 10 peaks for 2θ from 5° to 70°, most intense first:
2theta	Rel. int.
17.31	100
16.93	96
26.21	89
14.54	85
21.13	54
13.20	51
18.12	41
26.57	39
39.54	28
20.06	22

Cell: 8.589 11.148 20.909 Å, 90.00 101.43 90.00°
Space group Cc (No. 9)
Symmetry-distinct sites (fractional):
1 U 0.000 0.045 0.000
2 U 0.080 0.313 0.716
3 P 0.126 0.283 0.449
4 P 0.135 0.346 0.977
5 P 0.239 0.391 0.211
6 P 0.253 0.018 0.740
7 P 0.398 0.021 0.948
8 P 0.489 0.180 0.372
9 O 0.017 0.451 0.001
10 O 0.093 0.350 0.618
11 O 0.095 0.065 0.578
12 O 0.101 0.060 0.098
13 O 0.102 0.233 0.013
14 O 0.115 0.338 0.829
15 O 0.123 0.180 0.406
16 O 0.132 0.045 0.267
17 O 0.151 0.338 0.259
18 O 0.198 0.384 0.139
19 O 0.239 0.030 0.965
20 O 0.239 0.458 0.727
21 O 0.254 0.335 0.498
22 O 0.258 0.153 0.732
23 O 0.302 0.397 0.992
24 O 0.390 0.046 0.220
25 O 0.416 0.026 0.381
26 O 0.423 0.323 0.231
27 O 0.424 0.438 0.414
28 O 0.459 0.160 0.948
29 O 0.471 0.235 0.121

3.
Structure and simulated X-ray diffraction stick pattern of UP4O12 (the GGA-PBE geometry in the Materials Project; a wavelength of 1.5418 Å).

Top 10 peaks for 2θ from 5° to 70°, most intense first:
2theta	Rel. int.
13.56	100
15.04	98
21.34	97
20.15	69
19.87	59
20.80	58
20.40	56
24.80	56
34.00	50
25.24	40

Cell: 8.332 8.335 8.588 Å, 117.72 116.83 90.30°
Space group P-1 (No. 2)
Symmetry-distinct sites (fractional):
1 U 0.219 0.212 0.424
2 P 0.023 0.477 0.760
3 P 0.265 0.028 0.768
4 P 0.266 0.729 0.206
5 P 0.487 0.722 0.780
6 O 0.054 0.339 0.594
7 O 0.055 0.366 0.258
8 O 0.095 0.987 0.779
9 O 0.099 0.649 0.216
10 O 0.218 0.570 0.977
11 O 0.245 0.063 0.605
12 O 0.246 0.915 0.220
13 O 0.351 0.536 0.664
14 O 0.363 0.266 0.269
15 O 0.373 0.870 0.758
16 O 0.421 0.211 0.982
17 O 0.451 0.727 0.354